Theoretical powder XRD pattern
Compound: SrCdMo2O8
Radiation: a wavelength of 1.5418 Å
Structure: a structure optimized by DFT (GGA+U)
Intensities are scaled so that the largest is 100.

Structure:
```
data_SrCdMo2O8
_chemical_formula_sum 'Sr2 Cd2 Mo4 O16'
_symmetry_space_group_name_H-M 'I -4 m 2'
_symmetry_Int_Tables_number 119
_symmetry_space_group_name_Hall 'I -4 -2'
_cell_length_a 7.546
_cell_length_b 7.546
_cell_length_c 6.841
_cell_angle_alpha 90.00
_cell_angle_beta 90.00
_cell_angle_gamma 90.00
loop_
_atom_site_label
_atom_site_type_symbol
_atom_site_fract_x
_atom_site_fract_y
_atom_site_fract_z
Sr1 Sr 0.000 0.000 0.000
Cd1 Cd 0.000 0.500 0.250
Mo1 Mo 0.000 0.000 0.500
Mo2 Mo 0.000 0.500 0.750
O1 O 0.000 0.190 0.341
O2 O 0.000 0.314 0.913
```

Most intense lines, 2θ = 10–90°, sorted by position:
2theta, d (Å), I_rel, index
23.6, 3.773, 100, 2 0 0
31.1, 2.880, 79, 1 1 2
33.6, 2.668, 21, 2 2 0
46.4, 1.957, 61, 3 1 2
48.2, 1.887, 17, 4 0 0
54.4, 1.687, 14, 4 2 0
58.5, 1.578, 17, 3 3 2
59.3, 1.558, 13, 2 0 4
64.7, 1.440, 13, 2 2 4
69.2, 1.358, 14, 5 1 2
79.1, 1.210, 12, 5 3 2
79.9, 1.201, 13, 4 2 4

---

Theoretical powder XRD pattern
Compound: YHo2WO8
Radiation: a wavelength of 1.5418 Å
Structure: a structure optimized by DFT (GGA+U)
Intensities are scaled so that the largest is 100.

Structure:
```
data_YHo2WO8
_chemical_formula_sum 'Y2 Ho4 W2 O16'
_symmetry_space_group_name_H-M 'C m m m'
_symmetry_Int_Tables_number 65
_symmetry_space_group_name_Hall '-C 2 2'
_cell_length_a 7.086
_cell_length_b 7.176
_cell_length_c 6.812
_cell_angle_alpha 90.00
_cell_angle_beta 90.00
_cell_angle_gamma 90.00
loop_
_atom_site_label
_atom_site_type_symbol
_atom_site_fract_x
_atom_site_fract_y
_atom_site_fract_z
Y1 Y 0.000 0.000 0.000
Ho1 Ho 0.000 0.500 0.250
W1 W 0.000 0.000 0.500
O1 O 0.000 0.184 0.288
O2 O 0.191 0.500 0.000
O3 O 0.224 0.500 0.500
```

Most intense lines, 2θ = 10–90°, sorted by position:
2theta, d (Å), I_rel, index
24.8, 3.588, 59, 0 2 0
25.1, 3.543, 54, 2 0 0
31.7, 2.822, 100, 1 1 2
35.6, 2.521, 29, 2 2 0
48.2, 1.887, 40, 1 3 2
48.6, 1.874, 38, 3 1 2
51.6, 1.772, 10, 4 0 0
58.1, 1.588, 10, 4 2 0
60.1, 1.538, 10, 0 2 4
61.5, 1.507, 22, 3 3 2
66.2, 1.411, 11, 2 2 4
72.7, 1.300, 9, 1 5 2

---

What is the formula in the second record?
YHo2WO8